# 1
Diffraction record for Ho3Cu2Pt. The powder XRD pattern is calculated, not measured: it uses a crystal structure in Alexandria, relaxed with GGA-PBE and a wavelength of 1.5418 Å.
Peak positions follow from Bragg's law for the DFT cell and can differ from measured ones.

Principal peaks in the range 10° ≤ 2θ ≤ 90°, by angle:
- 36.59°, intensity 100.0, (1 0 3)
- 36.79°, intensity 49.3, (1 1 0)
- 52.39°, intensity 8.9, (0 0 6)
- 53.01°, intensity 17.2, (2 0 0)
- 65.73°, intensity 17.8, (1 1 6)
- 66.13°, intensity 35.1, (2 1 3)
- 77.77°, intensity 11.0, (2 0 6)
- 88.65°, intensity 8.1, (1 0 9)
- 89.64°, intensity 8.0, (3 0 3)
- 89.77°, intensity 8.0, (3 1 0)

Cell and atoms:
a = 3.4547 Å, b = 3.4547 Å, c = 10.4783 Å
α = 90.00°, β = 90.00°, γ = 90.00°
Space group P4/mmm (No. 123)
Unique sites:
Ho 0.0000 0.0000 0.0000 x1
Ho 0.0000 0.0000 0.3348 x2
Cu 0.5000 0.5000 0.1638 x2
Pt 0.5000 0.5000 0.5000 x1

# 2
Diffraction record for ZrTiO4. The powder XRD pattern is calculated, not measured: it uses a crystal structure in Alexandria, relaxed with GGA-PBE and a wavelength of 1.5418 Å.
Peak positions follow from Bragg's law for the DFT cell and can differ from measured ones.

Principal peaks in the range 10° ≤ 2θ ≤ 90°, by angle:
- 24.26°, intensity 30.0, (1 0 1)
- 29.90°, intensity 100.0, (1 1 1)
- 34.84°, intensity 12.5, (0 2 0)
- 35.87°, intensity 13.6, (0 1 2)
- 51.54°, intensity 13.8, (1 0 3)
- 52.23°, intensity 18.7, (2 2 0)
- 52.98°, intensity 24.7, (2 1 2)
- 59.44°, intensity 14.7, (1 3 1)
- 63.19°, intensity 22.3, (0 3 2)
- 63.72°, intensity 13.1, (1 2 3)

Cell and atoms:
a = 4.7783 Å, b = 5.1506 Å, c = 5.7286 Å
α = 90.00°, β = 90.00°, γ = 90.00°
Space group P2_12_12 (No. 18)
Unique sites:
Zr 0.0000 0.0000 0.0782 x2
Ti 0.0000 0.5000 0.4305 x2
O 0.2167 0.6593 0.1486 x4
O 0.2377 0.1762 0.3774 x4

# 3
Diffraction record for TbPr2Er6Tm. The powder XRD pattern is calculated, not measured: it uses a crystal structure in Alexandria, relaxed with GGA-PBE and a wavelength of 1.5418 Å.
Peak positions follow from Bragg's law for the DFT cell and can differ from measured ones.

Principal peaks in the range 10° ≤ 2θ ≤ 90°, by angle:
- 28.85°, intensity 65.7, (1 3 2)
- 30.54°, intensity 66.4, (0 2 3)
- 30.82°, intensity 94.4, (3 1 -1)
- 31.56°, intensity 80.7, (1 5 0)
- 31.75°, intensity 54.8, (2 4 -1)
- 31.99°, intensity 100.0, (2 2 2)
- 32.48°, intensity 22.8, (1 5 -1)
- 33.60°, intensity 96.0, (1 3 -3)
- 34.16°, intensity 23.2, (2 2 -3)
- 61.12°, intensity 21.3, (2 4 5)

Cell and atoms:
a = 8.9763 Å, b = 14.9627 Å, c = 9.6633 Å
α = 90.00°, β = 99.14°, γ = 90.00°
Space group C2/c (No. 15)
Unique sites:
Tb 0.0000 0.0172 0.2500 x4
Pr 0.2453 0.0516 0.5430 x8
Er 0.0665 0.1916 0.9423 x8
Er 0.1008 0.3942 0.1183 x8
Er 0.2016 0.2229 0.3121 x8
Tm 0.0000 0.4065 0.7500 x4

# 4
Diffraction record for Ti2BeSi. The powder XRD pattern is calculated, not measured: it uses a crystal structure in Alexandria, relaxed with GGA-PBE and a wavelength of 1.5418 Å.
Peak positions follow from Bragg's law for the DFT cell and can differ from measured ones.

Principal peaks in the range 10° ≤ 2θ ≤ 90°, by angle:
- 32.20°, intensity 42.1, (1 1 0)
- 37.82°, intensity 100.0, (1 1 -2)
- 38.94°, intensity 71.9, (1 0 2)
- 47.19°, intensity 49.4, (2 1 0)
- 52.52°, intensity 17.7, (1 0 -4)
- 52.67°, intensity 17.9, (0 2 0)
- 62.76°, intensity 10.7, (2 1 2)
- 67.40°, intensity 24.4, (1 2 2)
- 73.22°, intensity 10.5, (3 1 -4)
- 77.06°, intensity 10.4, (3 0 2)

Cell and atoms:
a = 4.9493 Å, b = 3.4755 Å, c = 6.9702 Å
α = 90.00°, β = 110.59°, γ = 90.00°
Space group P2_1/m (No. 11)
Unique sites:
Ti 0.2017 0.2500 0.4320 x2
Ti 0.2100 0.2500 0.9217 x2
Be 0.3546 0.7500 0.7130 x2
Si 0.3539 0.7500 0.2147 x2

# 5
Diffraction record for Pr5NiHg. The powder XRD pattern is calculated, not measured: it uses a crystal structure in Alexandria, relaxed with GGA-PBE and a wavelength of 1.5418 Å.
Peak positions follow from Bragg's law for the DFT cell and can differ from measured ones.

Principal peaks in the range 10° ≤ 2θ ≤ 90°, by angle:
- 27.55°, intensity 25.1, (2 0 2)
- 28.44°, intensity 26.5, (0 2 2)
- 29.11°, intensity 59.8, (3 1 -1)
- 29.71°, intensity 59.7, (2 2 -1)
- 30.10°, intensity 62.1, (2 2 0)
- 30.22°, intensity 73.4, (1 1 3)
- 31.42°, intensity 28.9, (2 2 -2)
- 31.64°, intensity 100.0, (2 0 -4)
- 33.58°, intensity 32.8, (0 2 3)
- 39.80°, intensity 26.9, (0 2 4)

Cell and atoms:
a = 10.0736 Å, b = 7.5379 Å, c = 11.8457 Å
α = 90.00°, β = 106.87°, γ = 90.00°
Space group C2/c (No. 15)
Unique sites:
Pr 0.0000 0.0178 0.2500 x4
Pr 0.1135 0.3273 0.5527 x8
Pr 0.2417 0.1850 0.1350 x8
Ni 0.0000 0.0000 0.0000 x4
Hg 0.0000 0.4344 0.2500 x4

# 6
Diffraction record for TaFeGeTe2Pd. The powder XRD pattern is calculated, not measured: it uses a crystal structure in Alexandria, relaxed with GGA-PBE and a wavelength of 1.5418 Å.
Peak positions follow from Bragg's law for the DFT cell and can differ from measured ones.

Principal peaks in the range 10° ≤ 2θ ≤ 90°, by angle:
- 24.78°, intensity 50.5, (1 1 0)
- 26.64°, intensity 28.8, (1 1 -1)
- 26.73°, intensity 24.6, (2 0 1)
- 31.69°, intensity 27.9, (1 1 -2)
- 31.85°, intensity 16.5, (2 0 2)
- 38.77°, intensity 66.1, (2 0 -3)
- 38.97°, intensity 80.3, (1 1 3)
- 43.64°, intensity 100.0, (3 1 0)
- 59.75°, intensity 17.2, (2 2 -3)
- 80.15°, intensity 16.4, (3 3 0)

Cell and atoms:
a = 7.1849 Å, b = 4.1478 Å, c = 9.0922 Å
α = 90.00°, β = 90.42°, γ = 90.00°
Space group Cm (No. 8)
Unique sites:
Ta 0.0000 0.0000 0.0000 x2
Fe 0.3321 0.0000 0.8690 x2
Ge 0.1652 0.5000 0.8483 x2
Te 0.3292 0.0000 0.5554 x2
Te 0.3348 0.0000 0.1749 x2
Pd 0.4970 0.5000 0.6928 x2

# 7
Diffraction record for Ba3Cd2As2H4. The powder XRD pattern is calculated, not measured: it uses a crystal structure in Alexandria, relaxed with GGA-PBE and a wavelength of 1.5418 Å.
Peak positions follow from Bragg's law for the DFT cell and can differ from measured ones.

Principal peaks in the range 10° ≤ 2θ ≤ 90°, by angle:
- 26.73°, intensity 52.8, (1 0 5)
- 27.77°, intensity 100.0, (1 1 0)
- 32.25°, intensity 39.4, (1 0 7)
- 39.68°, intensity 39.2, (2 0 0)
- 40.66°, intensity 18.2, (1 1 8)
- 48.49°, intensity 20.2, (2 1 5)
- 52.02°, intensity 19.8, (2 1 7)
- 53.07°, intensity 13.6, (1 1 12)
- 57.36°, intensity 13.0, (2 2 0)
- 64.90°, intensity 17.6, (3 1 0)

Cell and atoms:
a = 4.5434 Å, b = 4.5434 Å, c = 24.5478 Å
α = 90.00°, β = 90.00°, γ = 90.00°
Space group I4/mmm (No. 139)
Unique sites:
Ba 0.0000 0.0000 0.0000 x2
Ba 0.0000 0.0000 0.1782 x4
Cd 0.0000 0.0000 0.4191 x4
As 0.0000 0.0000 0.3106 x4
H 0.0000 0.5000 0.0631 x8